No. 1
The following is a calculated powder XRD pattern of InAgHg3. It was derived from DFT lattice parameters and positions (GGA-PBE), using CuKα.
Neutral-atom scattering factors, no anomalous dispersion.

The 8 most intense peaks (2θ = 15–90°), by angle:
| Position (°2θ) | I (rel.) |
| --- | --- |
| 28.69 | 24 |
| 30.33 | 48 |
| 32.04 | 100 |
| 35.14 | 23 |
| 38.21 | 74 |
| 40.05 | 36 |
| 51.05 | 23 |
| 68.88 | 18 |

Atomic structure:
Cell: 9.186 9.186 6.246 Å, 90.00 90.00 151.62°
Fractional positions:
In  0.127  0.873  0.500
In  0.873  0.127  0.000
Ag  0.324  0.676  0.721
Ag  0.676  0.324  0.221
Hg  0.105  0.895  0.980
Hg  0.284  0.716  0.241
Hg  0.490  0.510  0.931
Hg  0.510  0.490  0.431
Hg  0.716  0.284  0.741
Hg  0.895  0.105  0.480


No. 2
The following is a calculated powder XRD pattern of In2Ag6Hg. It was derived from DFT lattice parameters and positions (GGA-PBE), using CuKα.
Neutral-atom scattering factors, no anomalous dispersion.

The 8 most intense peaks (2θ = 15–90°), by angle:
| Position (°2θ) | I (rel.) |
| --- | --- |
| 23.02 | 2 |
| 27.84 | 1 |
| 30.40 | 2 |
| 36.43 | 100 |
| 42.31 | 49 |
| 61.38 | 31 |
| 73.53 | 35 |
| 77.38 | 10 |

Atomic structure:
Cell: 9.064 9.064 4.271 Å, 90.00 90.00 90.00°
Fractional positions:
In  0.176  0.176  0.000
In  0.324  0.676  0.500
In  0.676  0.324  0.500
In  0.824  0.824  0.000
Ag  0.002  0.338  0.500
Ag  0.162  0.502  0.000
Ag  0.164  0.836  0.000
Ag  0.336  0.336  0.500
Ag  0.338  0.002  0.500
Ag  0.498  0.838  0.000
Ag  0.502  0.162  0.000
Ag  0.662  0.998  0.500
Ag  0.664  0.664  0.500
Ag  0.836  0.164  0.000
Ag  0.838  0.498  0.000
Ag  0.998  0.662  0.500
Hg  0.000  0.000  0.500
Hg  0.500  0.500  0.000


No. 3
The following is a calculated powder XRD pattern of In16AgHg12. It was derived from DFT lattice parameters and positions (GGA-PBE), using CuKα.
Neutral-atom scattering factors, no anomalous dispersion.

The 8 most intense peaks (2θ = 15–90°), by angle:
| Position (°2θ) | I (rel.) |
| --- | --- |
| 31.27 | 100 |
| 32.70 | 29 |
| 33.31 | 56 |
| 33.45 | 41 |
| 34.54 | 33 |
| 36.70 | 29 |
| 38.40 | 37 |
| 39.16 | 26 |

Atomic structure:
Cell: 9.656 9.656 9.605 Å, 105.85 105.85 106.19°
Fractional positions:
In  0.000  0.000  0.000
In  0.022  0.604  0.331
In  0.085  0.342  0.638
In  0.220  0.851  0.228
In  0.299  0.691  0.684
In  0.336  0.555  0.032
In  0.340  0.984  0.981
In  0.342  0.085  0.638
In  0.555  0.336  0.032
In  0.604  0.022  0.331
In  0.607  0.607  0.346
In  0.691  0.299  0.684
In  0.721  0.721  0.723
In  0.851  0.220  0.228
In  0.862  0.862  0.310
In  0.984  0.340  0.981
Ag  0.203  0.203  0.875
Hg  0.049  0.851  0.640
Hg  0.060  0.645  0.867
Hg  0.138  0.138  0.368
Hg  0.256  0.452  0.320
Hg  0.450  0.450  0.710
Hg  0.452  0.256  0.320
Hg  0.470  0.831  0.505
Hg  0.593  0.808  0.010
Hg  0.645  0.060  0.867
Hg  0.808  0.593  0.010
Hg  0.831  0.470  0.505
Hg  0.851  0.049  0.640


No. 4
The following is a calculated powder XRD pattern of InAg2Hg. It was derived from DFT lattice parameters and positions (GGA-PBE), using CuKα.
Neutral-atom scattering factors, no anomalous dispersion.

The 8 most intense peaks (2θ = 15–90°), by angle:
| Position (°2θ) | I (rel.) |
| --- | --- |
| 35.69 | 100 |
| 39.87 | 18 |
| 40.99 | 17 |
| 43.40 | 14 |
| 58.51 | 12 |
| 61.22 | 10 |
| 69.62 | 7 |
| 71.22 | 13 |

Atomic structure:
Cell: 3.071 4.404 6.159 Å, 90.00 94.64 90.00°
Fractional positions:
In  0.000  0.000  0.000
Ag  0.499  0.500  0.249
Ag  0.501  0.500  0.751
Hg  0.000  0.000  0.500


No. 5
The following is a calculated powder XRD pattern of In4AgHg6. It was derived from DFT lattice parameters and positions (GGA-PBE), using CuKα.
Neutral-atom scattering factors, no anomalous dispersion.

The 8 most intense peaks (2θ = 15–90°), by angle:
| Position (°2θ) | I (rel.) |
| --- | --- |
| 31.25 | 100 |
| 32.51 | 58 |
| 33.33 | 98 |
| 33.43 | 50 |
| 33.81 | 46 |
| 34.01 | 85 |
| 37.23 | 92 |
| 37.89 | 78 |

Atomic structure:
Cell: 3.440 9.666 9.675 Å, 62.61 89.72 89.71°
Fractional positions:
In  0.000  0.000  0.000
In  0.001  0.569  0.431
In  0.003  0.520  0.950
In  0.016  0.009  0.439
Ag  0.501  0.858  0.289
Hg  0.274  0.322  0.752
Hg  0.482  0.674  0.104
Hg  0.522  0.976  0.737
Hg  0.523  0.308  0.404
Hg  0.532  0.218  0.119
Hg  0.533  0.689  0.649


No. 6
The following is a calculated powder XRD pattern of In6Ag3Hg. It was derived from DFT lattice parameters and positions (GGA-PBE), using CuKα.
Neutral-atom scattering factors, no anomalous dispersion.

The 8 most intense peaks (2θ = 15–90°), by angle:
| Position (°2θ) | I (rel.) |
| --- | --- |
| 29.65 | 58 |
| 31.93 | 54 |
| 33.59 | 49 |
| 33.71 | 89 |
| 35.11 | 74 |
| 36.85 | 51 |
| 37.15 | 100 |
| 40.15 | 58 |

Atomic structure:
Cell: 8.435 7.003 10.362 Å, 90.00 127.35 90.00°
Fractional positions:
In  0.006  0.134  0.211
In  0.006  0.366  0.711
In  0.244  0.671  0.668
In  0.244  0.829  0.168
In  0.386  0.090  0.820
In  0.386  0.410  0.320
In  0.614  0.590  0.680
In  0.614  0.910  0.180
In  0.756  0.171  0.832
In  0.756  0.329  0.332
In  0.994  0.634  0.289
In  0.994  0.866  0.789
Ag  0.000  0.000  0.500
Ag  0.000  0.500  0.000
Ag  0.274  0.191  0.035
Ag  0.274  0.309  0.535
Ag  0.726  0.691  0.465
Ag  0.726  0.809  0.965
Hg  0.500  0.000  0.500
Hg  0.500  0.500  0.000


No. 7
The following is a calculated powder XRD pattern of In9Ag2Hg4. It was derived from DFT lattice parameters and positions (GGA-PBE), using CuKα.
Neutral-atom scattering factors, no anomalous dispersion.

The 8 most intense peaks (2θ = 15–90°), by angle:
| Position (°2θ) | I (rel.) |
| --- | --- |
| 25.25 | 21 |
| 28.39 | 30 |
| 29.06 | 30 |
| 29.22 | 25 |
| 31.33 | 100 |
| 31.70 | 37 |
| 39.13 | 26 |
| 39.20 | 22 |

Atomic structure:
Cell: 7.407 7.521 14.708 Å, 101.60 94.75 100.50°
Fractional positions:
In  0.009  0.227  0.058
In  0.015  0.408  0.394
In  0.022  0.640  0.252
In  0.213  0.225  0.553
In  0.317  0.971  0.732
In  0.327  0.233  0.284
In  0.340  0.289  0.930
In  0.368  0.899  0.410
In  0.379  0.022  0.080
In  0.621  0.978  0.920
In  0.632  0.101  0.590
In  0.660  0.711  0.070
In  0.673  0.767  0.716
In  0.683  0.029  0.268
In  0.787  0.775  0.447
In  0.978  0.360  0.748
In  0.985  0.592  0.606
In  0.991  0.773  0.942
Ag  0.021  0.944  0.159
Ag  0.034  0.021  0.363
Ag  0.966  0.979  0.637
Ag  0.979  0.056  0.841
Hg  0.235  0.609  0.079
Hg  0.309  0.647  0.848
Hg  0.376  0.638  0.543
Hg  0.484  0.616  0.266
Hg  0.516  0.384  0.734
Hg  0.624  0.362  0.457
Hg  0.691  0.353  0.152
Hg  0.765  0.391  0.921


No. 8
The following is a calculated powder XRD pattern of In9Ag4Hg. It was derived from DFT lattice parameters and positions (GGA-PBE), using CuKα.
Neutral-atom scattering factors, no anomalous dispersion.

The 8 most intense peaks (2θ = 15–90°), by angle:
| Position (°2θ) | I (rel.) |
| --- | --- |
| 30.81 | 15 |
| 34.64 | 53 |
| 35.41 | 100 |
| 37.25 | 52 |
| 38.44 | 35 |
| 40.02 | 20 |
| 60.67 | 23 |
| 61.87 | 18 |

Atomic structure:
Cell: 9.366 9.366 9.011 Å, 90.00 90.00 120.00°
Fractional positions:
In  0.086  0.543  0.250
In  0.191  0.382  0.547
In  0.191  0.382  0.953
In  0.191  0.809  0.547
In  0.191  0.809  0.953
In  0.382  0.191  0.047
In  0.382  0.191  0.453
In  0.457  0.543  0.250
In  0.457  0.914  0.250
In  0.543  0.086  0.750
In  0.543  0.457  0.750
In  0.618  0.809  0.547
In  0.618  0.809  0.953
In  0.809  0.191  0.047
In  0.809  0.191  0.453
In  0.809  0.618  0.047
In  0.809  0.618  0.453
In  0.914  0.457  0.750
Ag  0.000  0.000  0.000
Ag  0.000  0.000  0.500
Ag  0.110  0.220  0.250
Ag  0.110  0.890  0.250
Ag  0.220  0.110  0.750
Ag  0.780  0.890  0.250
Ag  0.890  0.110  0.750
Ag  0.890  0.780  0.750
Hg  0.333  0.667  0.750
Hg  0.667  0.333  0.250


No. 9
The following is a calculated powder XRD pattern of In2AgHg3. It was derived from DFT lattice parameters and positions (GGA-PBE), using CuKα.
Neutral-atom scattering factors, no anomalous dispersion.

The 8 most intense peaks (2θ = 15–90°), by angle:
| Position (°2θ) | I (rel.) |
| --- | --- |
| 27.21 | 19 |
| 33.97 | 100 |
| 34.82 | 76 |
| 35.11 | 39 |
| 44.74 | 23 |
| 49.61 | 22 |
| 62.27 | 18 |
| 67.77 | 22 |

Atomic structure:
Cell: 3.277 5.112 8.950 Å, 90.00 90.00 90.00°
Fractional positions:
In  0.000  0.000  0.000
In  0.000  0.500  0.456
Ag  0.500  0.000  0.308
Hg  0.500  0.000  0.633
Hg  0.500  0.500  0.145
Hg  0.500  0.500  0.806